# 1
Starting from a GGA-PBE-relaxed structure, the powder diffraction line list of Na10B17C3 was simulated for λ = 1.5418 Å (Cu Kα).

Structural model:
```
data_Na10B17C3
_chemical_formula_sum 'Na20 B34 C6'
_symmetry_space_group_name_H-M 'C 1 m 1'
_symmetry_Int_Tables_number 8
_cell_length_a 18.184
_cell_length_b 2.824
_cell_length_c 13.781
_cell_angle_alpha 90.00
_cell_angle_beta 112.09
_cell_angle_gamma 90.00
loop_
_symmetry_equiv_pos_as_xyz
'x,y,z'
'x,-y,z'
'x+1/2,y+1/2,z'
'x+1/2,-y+1/2,z'
loop_
_atom_site_label
_atom_site_type_symbol
_atom_site_fract_x
_atom_site_fract_y
_atom_site_fract_z
Na1 Na 0.000 0.000 0.000
Na2 Na 0.000 0.000 0.495
Na3 Na 0.101 0.500 0.196
Na4 Na 0.101 0.500 0.698
Na5 Na 0.200 0.000 0.394
Na6 Na 0.202 0.000 0.900
Na7 Na 0.300 0.500 0.097
Na8 Na 0.300 0.500 0.595
Na9 Na 0.399 0.000 0.295
Na10 Na 0.401 0.000 0.800
B1 B 0.027 0.000 0.298
B2 B 0.036 0.000 0.819
B3 B 0.067 0.500 0.377
B4 B 0.077 0.500 0.903
B5 B 0.129 0.500 0.501
B6 B 0.167 0.000 0.082
B7 B 0.169 0.000 0.584
B8 B 0.231 0.000 0.709
B9 B 0.260 0.500 0.264
B10 B 0.271 0.500 0.789
B11 B 0.327 0.500 0.398
B12 B 0.334 0.500 0.917
B13 B 0.367 0.000 0.479
B14 B 0.372 0.000 0.993
B15 B 0.431 0.000 0.607
B16 B 0.438 0.000 0.122
B17 B 0.474 0.500 0.694
C1 C 0.136 0.500 0.020
C2 C 0.229 0.000 0.203
C3 C 0.468 0.500 0.181
```

Largest 10 diffraction maxima, sorted by position, 10° ≤ 2θ ≤ 90°:
hkl 2 0 4, 2θ 33.55, intensity 14
hkl 1 1 2, 2θ 35.97, intensity 17
hkl 6 0 2, 2θ 39.60, intensity 49
hkl 8 0 -4, 2θ 41.55, intensity 37
hkl 5 1 0, 2θ 41.72, intensity 100
hkl 7 1 -6, 2θ 56.11, intensity 10
hkl 3 1 6, 2θ 61.57, intensity 18
hkl 13 1 -4, 2θ 75.93, intensity 13
hkl 11 1 2, 2θ 77.03, intensity 17
hkl 6 2 2, 2θ 79.97, intensity 9

# 2
Starting from a GGA-PBE-relaxed structure, the powder diffraction line list of Na5B8C2 was simulated for λ = 1.5418 Å (Cu Kα).

Structural model:
```
data_Na5B8C2
_chemical_formula_sum 'Na20 B32 C8'
_symmetry_space_group_name_H-M 'A m m 2'
_symmetry_Int_Tables_number 38
_cell_length_a 8.665
_cell_length_b 2.826
_cell_length_c 26.344
_cell_angle_alpha 90.00
_cell_angle_beta 90.00
_cell_angle_gamma 90.00
loop_
_symmetry_equiv_pos_as_xyz
'x,y,z'
'-x,-y,z'
'-x,y,z'
'x,-y,z'
'x,y+1/2,z+1/2'
'-x,-y+1/2,z+1/2'
'-x,y+1/2,z+1/2'
'x,-y+1/2,z+1/2'
loop_
_atom_site_label
_atom_site_type_symbol
_atom_site_fract_x
_atom_site_fract_y
_atom_site_fract_z
Na1 Na 0.248 0.000 0.000
Na2 Na 0.249 0.000 0.199
Na3 Na 0.250 0.000 0.600
Na4 Na 0.250 0.000 0.799
Na5 Na 0.252 0.000 0.399
B1 B 0.000 0.000 0.068
B2 B 0.000 0.000 0.131
B3 B 0.000 0.000 0.271
B4 B 0.000 0.000 0.337
B5 B 0.000 0.000 0.464
B6 B 0.000 0.000 0.527
B7 B 0.000 0.000 0.670
B8 B 0.000 0.000 0.734
B9 B 0.000 0.000 0.925
B10 B 0.500 0.000 0.070
B11 B 0.500 0.000 0.257
B12 B 0.500 0.000 0.326
B13 B 0.500 0.000 0.478
B14 B 0.500 0.000 0.663
B15 B 0.500 0.000 0.869
B16 B 0.500 0.000 0.934
C1 C 0.000 0.000 0.866
C2 C 0.500 0.000 0.132
C3 C 0.500 0.000 0.538
C4 C 0.500 0.000 0.726
```

Largest 10 diffraction maxima, sorted by position, 10° ≤ 2θ ≤ 90°:
hkl 0 0 10, 2θ 34.03, intensity 13
hkl 0 1 5, 2θ 36.06, intensity 17
hkl 2 0 10, 2θ 40.06, intensity 50
hkl 4 0 0, 2θ 41.70, intensity 38
hkl 2 1 5, 2θ 41.84, intensity 100
hkl 4 1 5, 2θ 56.29, intensity 10
hkl 0 1 15, 2θ 62.24, intensity 17
hkl 6 1 5, 2θ 76.21, intensity 13
hkl 4 1 15, 2θ 77.73, intensity 17
hkl 2 2 10, 2θ 80.20, intensity 10

# 3
Starting from a GGA-PBE-relaxed structure, the powder diffraction line list of Na5B8C2 was simulated for λ = 1.5418 Å (Cu Kα).

Structural model:
```
data_Na5B8C2
_chemical_formula_sum 'Na20 B32 C8'
_symmetry_space_group_name_H-M 'C 1 m 1'
_symmetry_Int_Tables_number 8
_cell_length_a 18.078
_cell_length_b 2.831
_cell_length_c 13.659
_cell_angle_alpha 90.00
_cell_angle_beta 112.74
_cell_angle_gamma 90.00
loop_
_symmetry_equiv_pos_as_xyz
'x,y,z'
'x,-y,z'
'x+1/2,y+1/2,z'
'x+1/2,-y+1/2,z'
loop_
_atom_site_label
_atom_site_type_symbol
_atom_site_fract_x
_atom_site_fract_y
_atom_site_fract_z
Na1 Na 0.000 0.000 0.000
Na2 Na 0.001 0.000 0.498
Na3 Na 0.100 0.500 0.196
Na4 Na 0.100 0.500 0.699
Na5 Na 0.200 0.000 0.396
Na6 Na 0.201 0.000 0.901
Na7 Na 0.301 0.500 0.099
Na8 Na 0.302 0.500 0.599
Na9 Na 0.401 0.000 0.297
Na10 Na 0.403 0.000 0.801
B1 B 0.037 0.000 0.824
B2 B 0.059 0.500 0.364
B3 B 0.126 0.500 0.000
B4 B 0.127 0.500 0.500
B5 B 0.166 0.000 0.079
B6 B 0.171 0.000 0.589
B7 B 0.228 0.000 0.204
B8 B 0.235 0.000 0.718
B9 B 0.270 0.500 0.286
B10 B 0.279 0.500 0.807
B11 B 0.333 0.500 0.411
B12 B 0.371 0.000 0.990
B13 B 0.372 0.000 0.490
B14 B 0.435 0.000 0.619
B15 B 0.465 0.500 0.176
B16 B 0.472 0.500 0.693
C1 C 0.028 0.000 0.302
C2 C 0.066 0.500 0.883
C3 C 0.339 0.500 0.925
C4 C 0.433 0.000 0.113
```

Largest 10 diffraction maxima, sorted by position, 10° ≤ 2θ ≤ 90°:
hkl 2 0 4, 2θ 34.10, intensity 15
hkl 1 1 2, 2θ 36.03, intensity 19
hkl 2 0 -6, 2θ 40.02, intensity 28
hkl 6 0 2, 2θ 40.22, intensity 28
hkl 8 0 -4, 2θ 41.74, intensity 100
hkl 5 1 0, 2θ 41.86, intensity 57
hkl 3 1 6, 2θ 62.30, intensity 20
hkl 5 1 -10, 2θ 77.61, intensity 9
hkl 11 1 2, 2θ 77.99, intensity 9
hkl 8 2 -4, 2θ 81.17, intensity 9

# 4
Starting from a GGA-PBE-relaxed structure, the powder diffraction line list of Na4B7C was simulated for λ = 1.5418 Å (Cu Kα).

Structural model:
```
data_Na4B7C
_chemical_formula_sum 'Na8 B14 C2'
_symmetry_space_group_name_H-M 'P -6 m 2'
_symmetry_Int_Tables_number 187
_symmetry_space_group_name_Hall 'P -6 2'
_cell_length_a 2.9729
_cell_length_b 2.9729
_cell_length_c 34.4812
_cell_angle_alpha 90.00
_cell_angle_beta 90.00
_cell_angle_gamma 120.00
loop_
_atom_site_label
_atom_site_type_symbol
_atom_site_fract_x
_atom_site_fract_y
_atom_site_fract_z
Na1 Na 0.0000 0.0000 0.0629
Na2 Na 0.0000 0.0000 0.1853
Na3 Na 0.0000 0.0000 0.3111
Na4 Na 0.0000 0.0000 0.4371
B1 B 0.3333 0.6667 0.0000
B2 B 0.3333 0.6667 0.1243
B3 B 0.3333 0.6667 0.2483
B4 B 0.3333 0.6667 0.3742
B5 B 0.3333 0.6667 0.5000
B6 B 0.6667 0.3333 0.0000
B7 B 0.6667 0.3333 0.2483
B8 B 0.6667 0.3333 0.3742
B9 B 0.6667 0.3333 0.5000
C1 C 0.6667 0.3333 0.1243
```

Largest 10 diffraction maxima, sorted by position, 10° ≤ 2θ ≤ 90°:
hkl 1 0 0, 2θ 34.85, intensity 20
hkl 1 0 8, 2θ 40.83, intensity 100
hkl 0 0 16, 2θ 41.92, intensity 23
hkl 1 0 16, 2θ 55.62, intensity 10
hkl 1 1 0, 2θ 62.48, intensity 18
hkl 1 1 8, 2θ 66.54, intensity 2
hkl 2 0 0, 2θ 73.58, intensity 2
hkl 1 0 24, 2θ 75.83, intensity 12
hkl 2 0 8, 2θ 77.36, intensity 12
hkl 1 1 16, 2θ 78.11, intensity 17

# 5
Starting from a GGA-PBE-relaxed structure, the powder diffraction line list of Na10B17C3 was simulated for λ = 1.5418 Å (Cu Kα).

Structural model:
```
data_Na10B17C3
_chemical_formula_sum 'Na20 B34 C6'
_symmetry_space_group_name_H-M 'C 1 m 1'
_symmetry_Int_Tables_number 8
_cell_length_a 23.578
_cell_length_b 2.826
_cell_length_c 10.211
_cell_angle_alpha 90.00
_cell_angle_beta 105.67
_cell_angle_gamma 90.00
loop_
_symmetry_equiv_pos_as_xyz
'x,y,z'
'x,-y,z'
'x+1/2,y+1/2,z'
'x+1/2,-y+1/2,z'
loop_
_atom_site_label
_atom_site_type_symbol
_atom_site_fract_x
_atom_site_fract_y
_atom_site_fract_z
Na1 Na 0.000 0.000 0.000
Na2 Na 0.000 0.500 0.497
Na3 Na 0.100 0.000 0.697
Na4 Na 0.101 0.500 0.200
Na5 Na 0.200 0.000 0.398
Na6 Na 0.200 0.500 0.900
Na7 Na 0.300 0.500 0.598
Na8 Na 0.301 0.000 0.102
Na9 Na 0.401 0.000 0.797
Na10 Na 0.401 0.500 0.296
B1 B 0.019 0.500 0.785
B2 B 0.021 0.000 0.291
B3 B 0.081 0.500 0.911
B4 B 0.112 0.500 0.472
B5 B 0.121 0.000 0.992
B6 B 0.177 0.500 0.602
B7 B 0.184 0.000 0.118
B8 B 0.220 0.000 0.688
B9 B 0.223 0.500 0.194
B10 B 0.283 0.000 0.814
B11 B 0.288 0.500 0.323
B12 B 0.325 0.500 0.900
B13 B 0.376 0.000 0.499
B14 B 0.415 0.000 0.079
B15 B 0.416 0.500 0.578
B16 B 0.478 0.500 0.703
B17 B 0.481 0.000 0.210
C1 C 0.081 0.000 0.410
C2 C 0.318 0.000 0.382
C3 C 0.384 0.500 0.017
```

Largest 10 diffraction maxima, sorted by position, 10° ≤ 2θ ≤ 90°:
hkl 6 0 2, 2θ 33.56, intensity 16
hkl 3 1 1, 2θ 35.95, intensity 19
hkl 2 0 4, 2θ 39.56, intensity 28
hkl 10 0 0, 2θ 39.70, intensity 28
hkl 8 0 -4, 2θ 41.65, intensity 100
hkl 7 1 -1, 2θ 41.76, intensity 57
hkl 9 1 3, 2θ 61.57, intensity 21
hkl 1 1 7, 2θ 76.93, intensity 10
hkl 17 1 -1, 2θ 77.22, intensity 10
hkl 10 2 0, 2θ 79.93, intensity 11

# 6
Starting from a GGA-PBE-relaxed structure, the powder diffraction line list of Na10B17C3 was simulated for λ = 1.5418 Å (Cu Kα).

Structural model:
```
data_Na10B17C3
_chemical_formula_sum 'Na20 B34 C6'
_symmetry_space_group_name_H-M 'A m m 2'
_symmetry_Int_Tables_number 38
_cell_length_a 8.603
_cell_length_b 2.943
_cell_length_c 25.919
_cell_angle_alpha 90.00
_cell_angle_beta 90.00
_cell_angle_gamma 90.00
loop_
_symmetry_equiv_pos_as_xyz
'x,y,z'
'-x,-y,z'
'-x,y,z'
'x,-y,z'
'x,y+1/2,z+1/2'
'-x,-y+1/2,z+1/2'
'-x,y+1/2,z+1/2'
'x,-y+1/2,z+1/2'
loop_
_atom_site_label
_atom_site_type_symbol
_atom_site_fract_x
_atom_site_fract_y
_atom_site_fract_z
Na1 Na 0.247 0.000 0.000
Na2 Na 0.247 0.000 0.201
Na3 Na 0.249 0.000 0.600
Na4 Na 0.249 0.000 0.801
Na5 Na 0.250 0.000 0.400
B1 B 0.000 0.000 0.071
B2 B 0.000 0.000 0.274
B3 B 0.000 0.000 0.461
B4 B 0.000 0.000 0.532
B5 B 0.000 0.000 0.665
B6 B 0.000 0.000 0.734
B7 B 0.000 0.000 0.867
B8 B 0.500 0.000 0.067
B9 B 0.500 0.000 0.134
B10 B 0.500 0.000 0.266
B11 B 0.500 0.000 0.334
B12 B 0.500 0.000 0.466
B13 B 0.500 0.000 0.534
B14 B 0.500 0.000 0.666
B15 B 0.500 0.000 0.734
B16 B 0.500 0.000 0.866
B17 B 0.500 0.000 0.934
C1 C 0.000 0.000 0.134
C2 C 0.000 0.000 0.336
C3 C 0.000 0.000 0.931
```

Largest 10 diffraction maxima, sorted by position, 10° ≤ 2θ ≤ 90°:
hkl 0 0 10, 2θ 34.61, intensity 10
hkl 0 1 5, 2θ 35.06, intensity 20
hkl 2 0 10, 2θ 40.64, intensity 52
hkl 2 1 5, 2θ 41.04, intensity 100
hkl 4 0 0, 2θ 42.01, intensity 36
hkl 4 1 5, 2θ 55.84, intensity 11
hkl 0 1 15, 2θ 62.31, intensity 18
hkl 6 1 5, 2θ 76.09, intensity 12
hkl 2 2 10, 2θ 77.89, intensity 12
hkl 4 1 15, 2θ 78.01, intensity 17

# 7
Starting from a GGA-PBE-relaxed structure, the powder diffraction line list of Na10B17C3 was simulated for λ = 1.5418 Å (Cu Kα).

Structural model:
```
data_Na10B17C3
_chemical_formula_sum 'Na20 B34 C6'
_symmetry_space_group_name_H-M 'C 1 m 1'
_symmetry_Int_Tables_number 8
_cell_length_a 18.172
_cell_length_b 2.824
_cell_length_c 13.791
_cell_angle_alpha 90.00
_cell_angle_beta 112.12
_cell_angle_gamma 90.00
loop_
_symmetry_equiv_pos_as_xyz
'x,y,z'
'x,-y,z'
'x+1/2,y+1/2,z'
'x+1/2,-y+1/2,z'
loop_
_atom_site_label
_atom_site_type_symbol
_atom_site_fract_x
_atom_site_fract_y
_atom_site_fract_z
Na1 Na 0.000 0.000 0.000
Na2 Na 0.001 0.000 0.501
Na3 Na 0.099 0.500 0.698
Na4 Na 0.100 0.500 0.203
Na5 Na 0.199 0.000 0.898
Na6 Na 0.201 0.000 0.402
Na7 Na 0.300 0.500 0.599
Na8 Na 0.301 0.500 0.102
Na9 Na 0.400 0.000 0.798
Na10 Na 0.401 0.000 0.303
B1 B 0.028 0.000 0.805
B2 B 0.041 0.000 0.334
B3 B 0.066 0.500 0.881
B4 B 0.130 0.500 0.009
B5 B 0.133 0.500 0.516
B6 B 0.169 0.000 0.089
B7 B 0.223 0.000 0.695
B8 B 0.231 0.000 0.214
B9 B 0.265 0.500 0.778
B10 B 0.272 0.500 0.296
B11 B 0.327 0.500 0.903
B12 B 0.335 0.500 0.420
B13 B 0.370 0.000 0.990
B14 B 0.375 0.000 0.499
B15 B 0.434 0.000 0.118
B16 B 0.463 0.500 0.674
B17 B 0.474 0.500 0.199
C1 C 0.071 0.500 0.394
C2 C 0.164 0.000 0.578
C3 C 0.434 0.000 0.615
```

Largest 10 diffraction maxima, sorted by position, 10° ≤ 2θ ≤ 90°:
hkl 2 0 4, 2θ 33.55, intensity 14
hkl 1 1 2, 2θ 35.97, intensity 17
hkl 6 0 2, 2θ 39.60, intensity 49
hkl 8 0 -4, 2θ 41.56, intensity 37
hkl 5 1 0, 2θ 41.72, intensity 100
hkl 9 1 -2, 2θ 56.11, intensity 10
hkl 3 1 6, 2θ 61.57, intensity 18
hkl 5 1 -10, 2θ 76.94, intensity 8
hkl 11 1 2, 2θ 77.13, intensity 8
hkl 6 2 2, 2θ 79.96, intensity 9

# 8
Starting from a GGA-PBE-relaxed structure, the powder diffraction line list of Na5B8C2 was simulated for λ = 1.5418 Å (Cu Kα).

Structural model:
```
data_Na5B8C2
_chemical_formula_sum 'Na10 B16 C4'
_symmetry_space_group_name_H-M 'P -3 m 1'
_symmetry_Int_Tables_number 164
_symmetry_space_group_name_Hall '-P 3 2"'
_cell_length_a 2.9369
_cell_length_b 2.9369
_cell_length_c 42.9841
_cell_angle_alpha 90.00
_cell_angle_beta 90.00
_cell_angle_gamma 120.00
loop_
_atom_site_label
_atom_site_type_symbol
_atom_site_fract_x
_atom_site_fract_y
_atom_site_fract_z
Na1 Na 0.0000 0.0000 0.0000
Na2 Na 0.0000 0.0000 0.0981
Na3 Na 0.0000 0.0000 0.1992
Na4 Na 0.0000 0.0000 0.2976
Na5 Na 0.0000 0.0000 0.3986
Na6 Na 0.0000 0.0000 0.5000
B1 B 0.3333 0.6667 0.0489
B2 B 0.3333 0.6667 0.1487
B3 B 0.3333 0.6667 0.2485
B4 B 0.3333 0.6667 0.3482
B5 B 0.3333 0.6667 0.4495
B6 B 0.3333 0.6667 0.5505
B7 B 0.3333 0.6667 0.6518
B8 B 0.3333 0.6667 0.8513
C1 C 0.3333 0.6667 0.7515
C2 C 0.3333 0.6667 0.9512
```

Largest 10 diffraction maxima, sorted by position, 10° ≤ 2θ ≤ 90°:
hkl 1 0 0, 2θ 35.29, intensity 19
hkl 1 0 10, 2θ 41.24, intensity 100
hkl 0 0 20, 2θ 42.04, intensity 24
hkl 0 1 20, 2θ 56.02, intensity 10
hkl 1 1 0, 2θ 63.33, intensity 18
hkl 2 0 0, 2θ 74.63, intensity 2
hkl 1 0 30, 2θ 76.27, intensity 12
hkl 0 2 10, 2θ 78.42, intensity 11
hkl 1 1 20, 2θ 78.96, intensity 17
hkl 2 0 20, 2θ 89.56, intensity 2

# 9
Starting from a GGA-PBE-relaxed structure, the powder diffraction line list of Na10B13C7 was simulated for λ = 1.5418 Å (Cu Kα).

Structural model:
```
data_Na10B13C7
_chemical_formula_sum 'Na20 B26 C14'
_symmetry_space_group_name_H-M 'A m m 2'
_symmetry_Int_Tables_number 38
_cell_length_a 8.512
_cell_length_b 2.839
_cell_length_c 25.304
_cell_angle_alpha 90.00
_cell_angle_beta 90.00
_cell_angle_gamma 90.00
loop_
_symmetry_equiv_pos_as_xyz
'x,y,z'
'-x,-y,z'
'-x,y,z'
'x,-y,z'
'x,y+1/2,z+1/2'
'-x,-y+1/2,z+1/2'
'-x,y+1/2,z+1/2'
'x,-y+1/2,z+1/2'
loop_
_atom_site_label
_atom_site_type_symbol
_atom_site_fract_x
_atom_site_fract_y
_atom_site_fract_z
Na1 Na 0.246 0.000 0.000
Na2 Na 0.249 0.000 0.600
Na3 Na 0.250 0.000 0.799
Na4 Na 0.251 0.000 0.399
Na5 Na 0.252 0.000 0.200
B1 B 0.000 0.000 0.136
B2 B 0.000 0.000 0.330
B3 B 0.000 0.000 0.467
B4 B 0.000 0.000 0.539
B5 B 0.000 0.000 0.733
B6 B 0.000 0.000 0.926
B7 B 0.500 0.000 0.067
B8 B 0.500 0.000 0.269
B9 B 0.500 0.000 0.473
B10 B 0.500 0.000 0.661
B11 B 0.500 0.000 0.731
B12 B 0.500 0.000 0.864
B13 B 0.500 0.000 0.933
C1 C 0.000 0.000 0.071
C2 C 0.000 0.000 0.265
C3 C 0.000 0.000 0.668
C4 C 0.000 0.000 0.862
C5 C 0.500 0.000 0.131
C6 C 0.500 0.000 0.333
C7 C 0.500 0.000 0.536
```

Largest 10 diffraction maxima, sorted by position, 10° ≤ 2θ ≤ 90°:
hkl 0 0 10, 2θ 35.48, intensity 10
hkl 0 1 5, 2θ 36.28, intensity 18
hkl 2 0 10, 2θ 41.52, intensity 51
hkl 2 1 5, 2θ 42.23, intensity 100
hkl 4 0 0, 2θ 42.48, intensity 38
hkl 4 1 5, 2θ 57.07, intensity 10
hkl 0 1 15, 2θ 64.23, intensity 17
hkl 6 1 5, 2θ 77.55, intensity 13
hkl 4 1 15, 2θ 80.07, intensity 17
hkl 2 2 10, 2θ 80.86, intensity 11

What did the seventh record say?
Starting from a GGA-PBE-relaxed structure, the powder diffraction line list of Na10B17C3 was simulated for λ = 1.5418 Å (Cu Kα).

Structural model:
```
data_Na10B17C3
_chemical_formula_sum 'Na20 B34 C6'
_symmetry_space_group_name_H-M 'C 1 m 1'
_symmetry_Int_Tables_number 8
_cell_length_a 18.172
_cell_length_b 2.824
_cell_length_c 13.791
_cell_angle_alpha 90.00
_cell_angle_beta 112.12
_cell_angle_gamma 90.00
loop_
_symmetry_equiv_pos_as_xyz
'x,y,z'
'x,-y,z'
'x+1/2,y+1/2,z'
'x+1/2,-y+1/2,z'
loop_
_atom_site_label
_atom_site_type_symbol
_atom_site_fract_x
_atom_site_fract_y
_atom_site_fract_z
Na1 Na 0.000 0.000 0.000
Na2 Na 0.001 0.000 0.501
Na3 Na 0.099 0.500 0.698
Na4 Na 0.100 0.500 0.203
Na5 Na 0.199 0.000 0.898
Na6 Na 0.201 0.000 0.402
Na7 Na 0.300 0.500 0.599
Na8 Na 0.301 0.500 0.102
Na9 Na 0.400 0.000 0.798
Na10 Na 0.401 0.000 0.303
B1 B 0.028 0.000 0.805
B2 B 0.041 0.000 0.334
B3 B 0.066 0.500 0.881
B4 B 0.130 0.500 0.009
B5 B 0.133 0.500 0.516
B6 B 0.169 0.000 0.089
B7 B 0.223 0.000 0.695
B8 B 0.231 0.000 0.214
B9 B 0.265 0.500 0.778
B10 B 0.272 0.500 0.296
B11 B 0.327 0.500 0.903
B12 B 0.335 0.500 0.420
B13 B 0.370 0.000 0.990
B14 B 0.375 0.000 0.499
B15 B 0.434 0.000 0.118
B16 B 0.463 0.500 0.674
B17 B 0.474 0.500 0.199
C1 C 0.071 0.500 0.394
C2 C 0.164 0.000 0.578
C3 C 0.434 0.000 0.615
```

Largest 10 diffraction maxima, sorted by position, 10° ≤ 2θ ≤ 90°:
hkl 2 0 4, 2θ 33.55, intensity 14
hkl 1 1 2, 2θ 35.97, intensity 17
hkl 6 0 2, 2θ 39.60, intensity 49
hkl 8 0 -4, 2θ 41.56, intensity 37
hkl 5 1 0, 2θ 41.72, intensity 100
hkl 9 1 -2, 2θ 56.11, intensity 10
hkl 3 1 6, 2θ 61.57, intensity 18
hkl 5 1 -10, 2θ 76.94, intensity 8
hkl 11 1 2, 2θ 77.13, intensity 8
hkl 6 2 2, 2θ 79.96, intensity 9